[1]
This entry pairs a crystal structure of Cu4PdPt with its computed XRD peak list. Radiation: Cu Kα (λ = 1.5418 Å). Structure: a structure optimized by DFT (GGA-PBE).
Kinematic intensities with the Lorentz-polarization factor, no thermal factor.

The 8 most intense peaks (5 to 70 degrees two-theta), by angle:
- 19.8 deg, intensity 11, hkl 0 1 1
- 24.3 deg, intensity 16, hkl 0 2 0
- 41.6 deg, intensity 100, hkl 1 2 1
- 41.8 deg, intensity 99, hkl 1 2 -2
- 47.5 deg, intensity 34, hkl 2 0 -1
- 48.3 deg, intensity 33, hkl 0 0 3
- 49.7 deg, intensity 30, hkl 0 4 0
- 69.9 deg, intensity 10, hkl 2 0 2

Structural model:
a b c (Å): 3.828 7.339 5.958
angles (deg): 90.00 108.44 90.00
Atoms (fractional coordinates):
Cu  0.000  0.000  0.000
Cu  0.000  0.500  0.000
Cu  0.336  0.000  0.671
Cu  0.336  0.500  0.671
Cu  0.500  0.250  0.001
Cu  0.500  0.750  0.999
Cu  0.664  0.000  0.329
Cu  0.664  0.500  0.329
Pd  0.162  0.750  0.324
Pd  0.838  0.250  0.676
Pt  0.161  0.250  0.322
Pt  0.839  0.750  0.678


[2]
This entry pairs a crystal structure of Mg4TlRh5 with its computed XRD peak list. Radiation: Cu Kα (λ = 1.5418 Å). Structure: a structure optimized by DFT (GGA-PBE).
Kinematic intensities with the Lorentz-polarization factor, no thermal factor.

The 8 most intense peaks (5 to 70 degrees two-theta), by angle:
- 5.6 deg, intensity 77, hkl 0 0 1
- 11.3 deg, intensity 19, hkl 0 0 2
- 28.7 deg, intensity 13, hkl 1 0 1
- 30.4 deg, intensity 11, hkl 1 0 2
- 36.4 deg, intensity 11, hkl 1 0 4
- 40.2 deg, intensity 54, hkl 1 1 0
- 40.4 deg, intensity 100, hkl 1 0 5
- 58.2 deg, intensity 20, hkl 2 0 0

Structural model:
a b c (Å): 3.170 3.170 15.709
angles (deg): 90.00 90.00 90.00
Atoms (fractional coordinates):
Mg  0.000  0.000  0.098
Mg  0.000  0.000  0.292
Mg  0.000  0.000  0.708
Mg  0.000  0.000  0.902
Tl  0.000  0.000  0.500
Rh  0.500  0.500  0.000
Rh  0.500  0.500  0.195
Rh  0.500  0.500  0.391
Rh  0.500  0.500  0.609
Rh  0.500  0.500  0.805